Structure and simulated X-ray powder pattern of SrBi3I3O4 (a PBE-relaxed structure; Cu Kα).

Atomic structure:
```
SrBi3I3O4
1.0
-2.034 2.034 16.833
2.034 -2.034 16.833
2.034 2.034 -16.833
Sr Bi I O
1 3 3 4
direct
0.000 0.000 0.000
0.292 0.292 0.000
0.572 0.572 0.000
0.719 0.719 0.000
0.161 0.161 0.000
0.443 0.443 0.000
0.844 0.844 0.000
0.044 0.544 0.500
0.254 0.754 0.500
0.544 0.044 0.500
0.754 0.254 0.500
```

Principal peaks in the range 15 to 90 degrees two-theta, sorted by position:
| Position (°2θ) | intensity |
| --- | --- |
| 28.74 | 100 |
| 31.09 | 41 |
| 36.75 | 8 |
| 37.89 | 8 |
| 44.55 | 20 |
| 46.19 | 8 |
| 49.40 | 17 |
| 53.88 | 35 |
| 59.53 | 8 |
| 89.15 | 10 |

=====

Structure and simulated X-ray powder pattern of Bi10Te2I4O17 (a PBE-relaxed structure; Cu Kα).

Atomic structure:
```
Bi10Te2I4O17
1.0
7.999 0.000 0.000
0.000 4.000 9.860
0.000 -4.000 9.860
Bi Te I O
10 2 4 17
direct
0.000 0.000 0.000
0.000 0.232 0.232
0.000 0.726 0.726
0.255 0.102 0.612
0.255 0.612 0.102
0.500 0.226 0.226
0.500 0.500 0.500
0.500 0.735 0.735
0.745 0.102 0.612
0.745 0.612 0.102
0.000 0.483 0.483
0.500 0.963 0.963
0.251 0.365 0.866
0.251 0.866 0.365
0.749 0.365 0.866
0.749 0.866 0.365
0.000 0.037 0.538
0.000 0.208 0.676
0.000 0.538 0.037
0.000 0.676 0.208
0.234 0.442 0.442
0.236 0.942 0.942
0.240 0.784 0.784
0.250 0.287 0.287
0.500 0.044 0.523
0.500 0.205 0.678
0.500 0.523 0.044
0.500 0.678 0.205
0.500 0.867 0.867
0.750 0.287 0.287
0.760 0.784 0.784
0.764 0.942 0.942
0.766 0.442 0.442
```

Principal peaks in the range 15 to 90 degrees two-theta, sorted by position:
| Position (°2θ) | intensity |
| --- | --- |
| 28.74 | 100 |
| 31.64 | 34 |
| 36.45 | 10 |
| 45.35 | 18 |
| 49.02 | 23 |
| 54.58 | 34 |
| 59.53 | 10 |
| 60.95 | 9 |
| 79.15 | 8 |
| 86.49 | 9 |

=====

Structure and simulated X-ray powder pattern of BiTeIO3 (a PBE-relaxed structure; Cu Kα).

Atomic structure:
```
BiTeIO3
1.0
3.977 0.000 0.000
0.000 3.977 0.000
0.000 0.000 30.350
Bi Te I O
4 4 4 12
direct
0.250 0.250 0.041
0.250 0.250 0.710
0.750 0.750 0.290
0.750 0.750 0.959
0.250 0.250 0.216
0.250 0.250 0.372
0.750 0.750 0.628
0.750 0.750 0.784
0.250 0.250 0.561
0.250 0.250 0.896
0.750 0.750 0.104
0.750 0.750 0.439
0.250 0.250 0.282
0.250 0.750 0.000
0.250 0.750 0.231
0.250 0.750 0.343
0.250 0.750 0.657
0.250 0.750 0.769
0.750 0.250 0.000
0.750 0.250 0.231
0.750 0.250 0.343
0.750 0.250 0.657
0.750 0.250 0.769
0.750 0.750 0.718
```

Principal peaks in the range 15 to 90 degrees two-theta, sorted by position:
| Position (°2θ) | intensity |
| --- | --- |
| 28.55 | 100 |
| 31.82 | 40 |
| 34.88 | 17 |
| 35.49 | 8 |
| 45.62 | 21 |
| 48.40 | 17 |
| 54.70 | 33 |
| 55.99 | 9 |
| 58.69 | 8 |
| 59.10 | 7 |

=====

Structure and simulated X-ray powder pattern of Tm2BiIO8 (a PBE-relaxed structure; Cu Kα).

Atomic structure:
```
Tm2BiIO8
1.0
5.001 0.000 0.000
0.000 6.906 0.000
-0.023 0.000 5.004
Tm Bi I O
2 1 1 8
direct
0.000 0.248 0.000
0.000 0.752 0.000
0.500 0.000 0.500
0.500 0.500 0.500
0.183 0.000 0.181
0.230 0.500 0.228
0.314 0.297 0.684
0.314 0.703 0.684
0.686 0.297 0.316
0.686 0.703 0.316
0.770 0.500 0.772
0.817 0.000 0.819
```

Principal peaks in the range 15 to 90 degrees two-theta, sorted by position:
| Position (°2θ) | intensity |
| --- | --- |
| 25.12 | 54 |
| 25.24 | 52 |
| 31.48 | 100 |
| 35.90 | 29 |
| 48.42 | 38 |
| 48.55 | 37 |
| 58.42 | 9 |
| 59.58 | 19 |
| 61.78 | 21 |
| 65.72 | 12 |

=====

Structure and simulated X-ray powder pattern of YBi2IO8 (a PBE-relaxed structure; Cu Kα).

Atomic structure:
```
YBi2IO8
1.0
3.707 -3.707 0.000
3.707 3.707 0.000
0.000 0.000 6.807
Y Bi I O
1 2 1 8
direct
0.000 0.000 0.000
0.500 0.500 0.252
0.500 0.500 0.748
0.000 0.000 0.500
0.175 0.175 0.285
0.175 0.175 0.715
0.252 0.748 0.500
0.308 0.692 0.000
0.692 0.308 0.000
0.748 0.252 0.500
0.825 0.825 0.285
0.825 0.825 0.715
```

Principal peaks in the range 15 to 90 degrees two-theta, sorted by position:
| Position (°2θ) | intensity |
| --- | --- |
| 16.91 | 15 |
| 24.01 | 100 |
| 31.34 | 84 |
| 34.21 | 27 |
| 47.07 | 68 |
| 49.16 | 17 |
| 55.42 | 18 |
| 59.46 | 20 |
| 59.80 | 16 |
| 70.42 | 17 |

=====

Structure and simulated X-ray powder pattern of BiPS2I (a PBE-relaxed structure; Cu Kα).

Atomic structure:
```
BiPS2I
1.0
5.112 0.000 0.000
0.000 5.112 0.000
0.000 0.000 5.783
Bi P S I
1 1 2 1
direct
0.000 0.000 0.000
0.000 0.000 0.500
0.000 0.500 0.000
0.500 0.000 0.000
0.500 0.500 0.500
```

Principal peaks in the range 15 to 90 degrees two-theta, sorted by position:
| Position (°2θ) | intensity |
| --- | --- |
| 17.35 | 13 |
| 23.22 | 100 |
| 24.63 | 42 |
| 30.92 | 25 |
| 35.11 | 36 |
| 39.92 | 25 |
| 42.52 | 42 |
| 47.47 | 30 |
| 60.39 | 15 |
| 63.08 | 13 |

=====

Structure and simulated X-ray powder pattern of PaBi2I8 (a PBE-relaxed structure; Cu Kα).

Atomic structure:
```
PaBi2I8
1.0
6.866 -5.990 0.000
6.866 5.990 0.000
-2.750 0.000 7.907
Pa Bi I
1 2 8
direct
0.000 0.000 0.000
0.168 0.168 0.553
0.832 0.832 0.447
0.129 0.780 0.224
0.220 0.871 0.776
0.230 0.230 0.236
0.370 0.370 0.790
0.630 0.630 0.210
0.770 0.770 0.764
0.780 0.129 0.224
0.871 0.220 0.776
```

Principal peaks in the range 15 to 90 degrees two-theta, sorted by position:
| Position (°2θ) | intensity |
| --- | --- |
| 20.18 | 35 |
| 20.80 | 65 |
| 22.50 | 30 |
| 26.74 | 64 |
| 27.59 | 100 |
| 30.06 | 39 |
| 30.95 | 67 |
| 39.84 | 27 |
| 43.79 | 27 |
| 46.56 | 29 |

=====

Structure and simulated X-ray powder pattern of PaBiI6 (a PBE-relaxed structure; Cu Kα).

Atomic structure:
```
PaBiI6
1.0
4.045 -6.967 0.000
4.045 6.967 0.000
-2.286 0.000 7.984
Pa Bi I
1 1 6
direct
0.000 0.000 0.000
0.000 0.000 0.500
0.040 0.735 0.216
0.265 0.960 0.784
0.352 0.352 0.223
0.648 0.648 0.777
0.735 0.040 0.216
0.960 0.265 0.784
```

Principal peaks in the range 15 to 90 degrees two-theta, sorted by position:
| Position (°2θ) | intensity |
| --- | --- |
| 22.51 | 39 |
| 23.49 | 26 |
| 26.35 | 38 |
| 28.15 | 25 |
| 29.34 | 100 |
| 33.94 | 29 |
| 38.68 | 25 |
| 38.78 | 24 |
| 39.82 | 30 |
| 45.95 | 23 |

=====

Structure and simulated X-ray powder pattern of PaBiI3 (a PBE-relaxed structure; Cu Kα).

Atomic structure:
```
PaBiI3
1.0
8.297 0.000 0.000
0.000 8.319 0.000
-1.001 0.000 14.898
Pa Bi I
4 4 12
direct
0.068 0.107 0.146
0.068 0.893 0.646
0.932 0.107 0.354
0.932 0.893 0.854
0.161 0.396 0.293
0.161 0.604 0.793
0.839 0.396 0.207
0.839 0.604 0.707
0.128 0.209 0.529
0.128 0.791 0.029
0.231 0.095 0.798
0.231 0.905 0.298
0.370 0.246 0.088
0.370 0.754 0.588
0.630 0.246 0.412
0.630 0.754 0.912
0.769 0.095 0.702
0.769 0.905 0.202
0.872 0.209 0.971
0.872 0.791 0.471
```

Principal peaks in the range 15 to 90 degrees two-theta, sorted by position:
| Position (°2θ) | intensity |
| --- | --- |
| 24.02 | 49 |
| 24.40 | 55 |
| 24.51 | 51 |
| 29.58 | 100 |
| 31.35 | 62 |
| 34.40 | 47 |
| 34.77 | 54 |
| 36.30 | 49 |
| 37.11 | 62 |
| 38.14 | 57 |

=====

Structure and simulated X-ray powder pattern of Bi2Pb3I (a PBE-relaxed structure; Cu Kα).

Atomic structure:
```
Bi2Pb3I
1.0
11.835 -2.294 0.000
11.835 2.294 0.000
-2.547 0.000 8.594
Bi Pb I
4 6 2
direct
0.074 0.074 0.491
0.305 0.305 0.524
0.695 0.695 0.476
0.926 0.926 0.509
0.036 0.036 0.819
0.216 0.216 0.747
0.433 0.433 0.775
0.567 0.567 0.225
0.784 0.784 0.253
0.964 0.964 0.181
0.344 0.344 0.039
0.656 0.656 0.961
```

Principal peaks in the range 15 to 90 degrees two-theta, sorted by position:
| Position (°2θ) | intensity |
| --- | --- |
| 21.78 | 52 |
| 22.66 | 23 |
| 31.12 | 100 |
| 31.22 | 17 |
| 31.53 | 91 |
| 33.11 | 33 |
| 38.05 | 34 |
| 38.18 | 20 |
| 39.27 | 38 |
| 66.14 | 17 |

=====

Structure and simulated X-ray powder pattern of BiPd2I8 (a PBE-relaxed structure; Cu Kα).

Atomic structure:
```
BiPd2I8
1.0
8.653 0.000 0.000
-4.326 7.494 0.000
0.000 0.000 8.189
Bi Pd I
1 2 8
direct
0.000 0.000 0.000
0.333 0.667 0.266
0.667 0.333 0.734
0.156 0.312 0.248
0.156 0.844 0.248
0.312 0.156 0.752
0.333 0.667 0.581
0.667 0.333 0.419
0.688 0.844 0.248
0.844 0.156 0.752
0.844 0.688 0.752
```

Principal peaks in the range 15 to 90 degrees two-theta, sorted by position:
| Position (°2θ) | intensity |
| --- | --- |
| 16.03 | 100 |
| 20.53 | 30 |
| 21.71 | 19 |
| 23.75 | 18 |
| 26.16 | 74 |
| 32.39 | 40 |
| 33.48 | 44 |
| 34.99 | 30 |
| 41.76 | 48 |
| 46.19 | 36 |

=====

Structure and simulated X-ray powder pattern of BiPdI (a PBE-relaxed structure; Cu Kα).

Atomic structure:
```
BiPdI
1.0
5.446 0.000 0.000
0.000 4.165 0.000
-0.020 0.000 9.131
Bi Pd I
2 2 2
direct
0.000 0.000 0.000
0.500 0.500 0.112
0.003 0.500 0.204
0.502 0.000 0.908
0.423 0.500 0.716
0.922 0.000 0.395
```

Principal peaks in the range 15 to 90 degrees two-theta, sorted by position:
| Position (°2θ) | intensity |
| --- | --- |
| 18.97 | 35 |
| 26.95 | 46 |
| 29.02 | 100 |
| 32.89 | 47 |
| 34.37 | 27 |
| 40.26 | 69 |
| 43.46 | 26 |
| 44.43 | 50 |
| 52.88 | 27 |
| 70.77 | 24 |

=====

Structure and simulated X-ray powder pattern of BiTe2PdI (a PBE-relaxed structure; Cu Kα).

Atomic structure:
```
BiTe2PdI
1.0
5.334 0.000 0.000
0.000 5.334 0.000
0.000 0.000 5.390
Bi Te Pd I
1 2 1 1
direct
0.000 0.000 0.000
0.000 0.500 0.500
0.500 0.000 0.500
0.500 0.500 0.500
0.500 0.500 0.000
```

Principal peaks in the range 15 to 90 degrees two-theta, sorted by position:
| Position (°2θ) | intensity |
| --- | --- |
| 23.46 | 27 |
| 28.89 | 100 |
| 33.24 | 37 |
| 33.60 | 72 |
| 47.99 | 53 |
| 48.25 | 26 |
| 56.75 | 15 |
| 57.22 | 30 |
| 59.86 | 27 |
| 89.95 | 19 |